Starting from the GGA-PBE geometry in Alexandria, the powder diffractogram of Hg4SIBr2 was simulated for Cu Kα (weighted mean of Kα1 and Kα2).
Kinematic intensities with the Lorentz-polarization factor, no thermal factor.

Atomic structure:
Cell lengths 8.9282, 8.7091, 7.5235 Å; angles 90.00, 90.00, 90.00 degrees
Space group Pmn2_1 (No. 31)
Inequivalent atoms, fractional coordinates:
1 Hg 0.0000 0.0401 0.0000 x2
2 Hg 0.0000 0.9235 0.4647 x2
3 Hg 0.1634 0.5446 0.9652 x4
4 S 0.0000 0.8068 0.1733 x2
5 I 0.0000 0.1904 0.6730 x2
6 Br 0.2485 0.2225 0.1544 x4

Main lines, sorted by position (2θ = 5–70°):
(1 1 1), 2θ 18.48, intensity 35
(2 1 0), 2θ 22.38, intensity 98
(0 0 2), 2θ 23.63, intensity 100
(2 1 1), 2θ 25.35, intensity 40
(1 2 1), 2θ 25.66, intensity 30
(0 2 2), 2θ 31.43, intensity 88
(3 0 1), 2θ 32.37, intensity 30
(2 1 2), 2θ 32.79, intensity 59
(3 1 1), 2θ 33.99, intensity 31
(2 3 1), 2θ 38.89, intensity 50
(0 4 1), 2θ 43.26, intensity 28
(4 1 2), 2θ 48.58, intensity 34

=====

Starting from the GGA-PBE geometry in Alexandria, the powder diffractogram of SrTl8In2 was simulated for Cu Kα (weighted mean of Kα1 and Kα2).
Kinematic intensities with the Lorentz-polarization factor, no thermal factor.

Atomic structure:
Cell lengths 8.7052, 17.0174, 6.2255 Å; angles 90.00, 130.05, 90.00 degrees
Space group C2/m (No. 12)
Inequivalent atoms, fractional coordinates:
1 Sr 0.0000 0.0000 0.0000 x2
2 Tl 0.0000 0.2056 0.0000 x4
3 Tl 0.0335 0.5000 0.2873 x4
4 Tl 0.2318 0.1345 0.7690 x8
5 In 0.0000 0.3206 0.5000 x4

Main lines, sorted by position (2θ = 5–70°):
(1 3 0), 2θ 20.56, intensity 38
(2 0 -2), 2θ 28.81, intensity 47
(2 4 -1), 2θ 29.40, intensity 37
(1 1 1), 2θ 29.70, intensity 81
(1 5 -1), 2θ 29.95, intensity 86
(2 2 -2), 2θ 30.70, intensity 58
(1 3 1), 2θ 33.30, intensity 51
(3 1 -2), 2θ 33.42, intensity 36
(2 4 0), 2θ 34.18, intensity 100
(3 3 -1), 2θ 35.48, intensity 70
(2 4 -2), 2θ 35.85, intensity 38
(1 7 -1), 2θ 39.83, intensity 38

=====

Starting from the GGA-PBE geometry in Alexandria, the powder diffractogram of Nd2Hg3 was simulated for Cu Kα (weighted mean of Kα1 and Kα2).
Kinematic intensities with the Lorentz-polarization factor, no thermal factor.

Atomic structure:
Cell lengths 7.2275, 12.8433, 6.4000 Å; angles 90.00, 90.00, 90.00 degrees
Space group Ibam (No. 72)
Inequivalent atoms, fractional coordinates:
1 Nd 0.2359 0.1579 0.0000 x8
2 Hg 0.0000 0.5000 0.2500 x4
3 Hg 0.1793 0.1014 0.5000 x8

Main lines, sorted by position (2θ = 5–70°):
(0 2 0), 2θ 13.79, intensity 23
(1 3 0), 2θ 24.16, intensity 27
(2 0 0), 2θ 24.64, intensity 19
(0 0 2), 2θ 27.85, intensity 42
(1 1 2), 2θ 31.35, intensity 44
(1 4 1), 2θ 33.60, intensity 51
(2 3 1), 2θ 35.40, intensity 21
(2 0 2), 2θ 37.51, intensity 100
(3 1 0), 2θ 38.00, intensity 33
(0 4 2), 2θ 39.77, intensity 50
(3 5 2), 2θ 60.07, intensity 19
(1 8 1), 2θ 60.85, intensity 21

=====

Starting from the GGA-PBE geometry in Alexandria, the powder diffractogram of Ni6Pt was simulated for Cu Kα (weighted mean of Kα1 and Kα2).
Kinematic intensities with the Lorentz-polarization factor, no thermal factor.

Atomic structure:
Cell lengths 10.9538, 2.5859, 6.2118 Å; angles 90.00, 111.39, 90.00 degrees
Space group C2/m (No. 12)
Inequivalent atoms, fractional coordinates:
1 Ni 0.0724 0.0000 0.2048 x4
2 Ni 0.1457 0.5000 0.9334 x4
3 Ni 0.2204 0.0000 0.6474 x4
4 Pt 0.0000 0.5000 0.5000 x2

Main lines, sorted by position (2θ = 5–70°):
(0 0 1), 2θ 15.32, intensity 25
(2 0 0), 2θ 17.39, intensity 19
(2 0 -1), 2θ 18.53, intensity 17
(2 0 1), 2θ 27.21, intensity 9
(2 0 -2), 2θ 29.43, intensity 8
(1 1 0), 2θ 35.82, intensity 8
(1 1 -1), 2θ 37.82, intensity 8
(1 1 1), 2θ 40.48, intensity 7
(3 1 -1), 2θ 43.28, intensity 100
(4 0 1), 2θ 43.72, intensity 96
(1 1 2), 2θ 50.26, intensity 66
(6 0 -2), 2θ 51.47, intensity 29

=====

Starting from the GGA-PBE geometry in Alexandria, the powder diffractogram of CsTlCuBr5 was simulated for Cu Kα (weighted mean of Kα1 and Kα2).
Kinematic intensities with the Lorentz-polarization factor, no thermal factor.

Atomic structure:
Cell lengths 9.6131, 12.6866, 10.8159 Å; angles 90.00, 113.74, 90.00 degrees
Space group C2/c (No. 15)
Inequivalent atoms, fractional coordinates:
1 Cs 0.0000 0.1532 0.2500 x4
2 Tl 0.0000 0.5000 0.0000 x4
3 Cu 0.0000 0.1965 0.7500 x4
4 Br 0.0000 0.4342 0.2500 x4
5 Br 0.0957 0.2859 0.6024 x8
6 Br 0.1920 0.0818 0.9172 x8

Main lines, sorted by position (2θ = 5–70°):
(1 1 0), 2θ 12.24, intensity 49
(1 1 -2), 2θ 18.06, intensity 100
(2 0 0), 2θ 20.18, intensity 59
(0 2 2), 2θ 22.79, intensity 30
(1 3 0), 2θ 23.34, intensity 50
(1 1 -3), 2θ 25.70, intensity 26
(1 3 1), 2θ 26.48, intensity 49
(3 1 -1), 2θ 28.93, intensity 37
(2 0 -4), 2θ 33.61, intensity 36
(2 4 -2), 2θ 35.30, intensity 63
(3 3 0), 2θ 37.31, intensity 27
(4 0 -4), 2θ 42.60, intensity 29